Starting from a DFT-relaxed cell (PBE+U, the Materials Project), the X-ray diffraction stick pattern of La2MgNi2O6 was simulated for copper Kα.
Neutral-atom scattering factors, no anomalous dispersion.

Crystal structure
Cell lengths 5.225, 5.532, 5.820 Å; angles 111.13, 107.23, 97.04 degrees
Sites, in units of the cell vectors:
1 La 0.000 0.000 0.000
2 La 0.381 0.472 0.786
3 Mg 0.681 0.729 0.399
4 Ni 0.182 0.744 0.405
5 Ni 0.688 0.230 0.405
6 O 0.385 0.388 0.276
7 O 0.409 0.887 0.216
8 O 0.536 0.871 0.727
9 O 0.832 0.610 0.081
10 O 0.959 0.578 0.588
11 O 0.988 0.078 0.552

Peak list (10 most intense, 2θ from 10° to 90°, low angle first)
Position (°2θ), intensity
22.10, 19
27.93, 24
28.84, 100
29.98, 30
32.36, 20
32.74, 40
32.87, 31
33.48, 30
34.85, 32
45.07, 28


Starting from a DFT-relaxed cell (PBE+U, the Materials Project), the X-ray diffraction stick pattern of La2MgNiO6 was simulated for copper Kα.
Neutral-atom scattering factors, no anomalous dispersion.

Crystal structure
Cell lengths 5.427, 5.427, 5.427 Å; angles 61.21, 61.21, 61.21 degrees
Sites, in units of the cell vectors:
1 La 0.248 0.248 0.248
2 La 0.752 0.752 0.752
3 Mg 0.500 0.500 0.500
4 Ni 0.000 0.000 0.000
5 O 0.179 0.764 0.301
6 O 0.236 0.699 0.821
7 O 0.301 0.179 0.764
8 O 0.699 0.821 0.236
9 O 0.764 0.301 0.179
10 O 0.821 0.236 0.699

Peak list (10 most intense, 2θ from 10° to 90°, low angle first)
Position (°2θ), intensity
22.97, 50
32.40, 100
33.02, 100
40.09, 35
46.94, 63
57.80, 24
58.19, 41
59.37, 19
69.28, 18
78.57, 17


Starting from a DFT-relaxed cell (PBE+U, the Materials Project), the X-ray diffraction stick pattern of La2MgTiNiO6 was simulated for copper Kα.
Neutral-atom scattering factors, no anomalous dispersion.

Crystal structure
Cell lengths 6.428, 6.428, 6.428 Å; angles 129.08, 128.49, 75.36 degrees
Sites, in units of the cell vectors:
1 La 0.164 0.164 0.000
2 La 0.836 0.836 0.000
3 Mg 0.500 0.500 0.000
4 Ti 0.000 0.500 0.500
5 Ni 0.500 0.000 0.500
6 O 0.199 0.699 0.500
7 O 0.240 0.244 0.484
8 O 0.240 0.756 0.996
9 O 0.760 0.244 0.004
10 O 0.760 0.756 0.516
11 O 0.801 0.301 0.500

Peak list (10 most intense, 2θ from 10° to 90°, low angle first)
Position (°2θ), intensity
18.12, 26
18.27, 30
22.63, 27
28.71, 49
30.88, 100
32.04, 36
32.40, 35
42.33, 28
45.34, 46
46.21, 45


Starting from a DFT-relaxed cell (PBE+U, the Materials Project), the X-ray diffraction stick pattern of La2MgZnNiO6 was simulated for copper Kα.
Neutral-atom scattering factors, no anomalous dispersion.

Crystal structure
Cell lengths 5.518, 5.769, 5.816 Å; angles 61.88, 62.78, 78.20 degrees
Sites, in units of the cell vectors:
1 La 0.000 0.000 0.000
2 La 0.292 0.653 0.554
3 Mg 0.437 0.284 0.189
4 Zn 0.831 0.368 0.374
5 Ni 0.651 0.823 0.780
6 O 0.011 0.041 0.542
7 O 0.294 0.624 0.985
8 O 0.431 0.223 0.564
9 O 0.524 0.982 0.085
10 O 0.782 0.671 0.466
11 O 0.841 0.438 0.993

Peak list (10 most intense, 2θ from 10° to 90°, low angle first)
Position (°2θ), intensity
20.05, 37
25.40, 37
30.87, 100
31.15, 78
31.64, 65
31.94, 37
32.86, 39
33.41, 65
39.67, 55
41.07, 48


Starting from a DFT-relaxed cell (PBE+U, the Materials Project), the X-ray diffraction stick pattern of La2MgVO6 was simulated for copper Kα.
Neutral-atom scattering factors, no anomalous dispersion.

Crystal structure
Cell lengths 5.522, 5.522, 5.522 Å; angles 61.22, 61.22, 61.22 degrees
Sites, in units of the cell vectors:
1 La 0.249 0.249 0.249
2 La 0.751 0.751 0.751
3 Mg 0.500 0.500 0.500
4 V 0.000 0.000 0.000
5 O 0.171 0.758 0.315
6 O 0.242 0.685 0.829
7 O 0.315 0.171 0.758
8 O 0.685 0.829 0.242
9 O 0.758 0.315 0.171
10 O 0.829 0.242 0.685

Peak list (10 most intense, 2θ from 10° to 90°, low angle first)
Position (°2θ), intensity
22.57, 66
31.83, 97
32.44, 100
39.37, 41
46.09, 62
51.49, 18
56.71, 25
57.10, 42
58.25, 19
67.93, 18


Starting from a DFT-relaxed cell (PBE+U, the Materials Project), the X-ray diffraction stick pattern of La2MgVZnO6 was simulated for copper Kα.
Neutral-atom scattering factors, no anomalous dispersion.

Crystal structure
Cell lengths 5.688, 5.691, 6.504 Å; angles 64.13, 64.18, 60.04 degrees
Sites, in units of the cell vectors:
1 La 0.000 0.000 0.000
2 La 0.461 0.462 0.614
3 Mg 0.812 0.813 0.562
4 V 0.646 0.645 0.062
5 Zn 0.230 0.229 0.311
6 O 0.014 0.729 0.806
7 O 0.225 0.580 0.310
8 O 0.451 0.013 0.806
9 O 0.580 0.884 0.311
10 O 0.731 0.451 0.804
11 O 0.885 0.224 0.312

Peak list (10 most intense, 2θ from 10° to 90°, low angle first)
Position (°2θ), intensity
20.88, 44
27.85, 79
31.44, 100
32.17, 53
42.50, 22
45.36, 33
45.60, 24
55.97, 33
56.44, 24
59.03, 19